(1)
The following is a theoretical X-ray powder pattern of La2BeFe2. It was derived from the PBE geometry in Alexandria, using CuKα.
Lines closer than 0.1° are merged.

Peak list (10 most intense, 5 to 70 degrees two-theta, sorted by position)
hkl 1 1 0, 18.7°, intensity 18.5
hkl 0 0 1, 20.2°, intensity 17.0
hkl 2 0 0, 26.5°, intensity 26.5
hkl 2 1 0, 29.7°, intensity 11.9
hkl 2 0 1, 33.6°, intensity 37.8
hkl 2 1 1, 36.2°, intensity 100.0
hkl 0 0 2, 41.1°, intensity 20.3
hkl 3 1 0, 42.6°, intensity 11.8
hkl 4 1 0, 56.5°, intensity 13.8
hkl 4 1 1, 60.7°, intensity 27.3

Unit cell a=6.7169 b=6.7169 c=4.3874 alpha=90.00 beta=90.00 gamma=90.00
Space group P4/mbm (No. 127)
Unique sites:
La1 0.1869 0.3131 0.0000
Be1 0.0000 0.0000 0.5000
Fe1 0.1204 0.6204 0.5000

---

(2)
The following is a theoretical X-ray powder pattern of MgBe2Fe. It was derived from the PBE geometry in Alexandria, using CuKα.
Lines closer than 0.1° are merged.

Peak list (10 most intense, 5 to 70 degrees two-theta, sorted by position)
hkl 0 0 2, 22.9°, intensity 15.6
hkl 1 0 1, 28.7°, intensity 100.0
hkl 1 1 0, 37.4°, intensity 8.5
hkl 1 0 3, 44.0°, intensity 30.2
hkl 1 1 2, 44.3°, intensity 85.6
hkl 0 0 4, 46.9°, intensity 17.9
hkl 2 0 0, 53.9°, intensity 23.0
hkl 2 0 2, 59.3°, intensity 3.8
hkl 2 1 1, 62.2°, intensity 19.6
hkl 1 0 5, 66.2°, intensity 7.9

Unit cell a=3.4022 b=3.4022 c=7.7515 alpha=90.00 beta=90.00 gamma=90.00
Space group I-4m2 (No. 119)
Unique sites:
Mg1 0.0000 0.0000 0.0000
Be1 0.0000 0.0000 0.5000
Be2 0.0000 0.5000 0.7500
Fe1 0.0000 0.5000 0.2500

---

(3)
The following is a theoretical X-ray powder pattern of MgBe2Fe. It was derived from the PBE geometry in Alexandria, using CuKα.
Lines closer than 0.1° are merged.

Peak list (10 most intense, 5 to 70 degrees two-theta, sorted by position)
hkl 0 0 1, 18.8°, intensity 70.5
hkl 0 1 0, 24.1°, intensity 22.2
hkl 0 1 1, 30.7°, intensity 96.8
hkl 1 0 0, 35.1°, intensity 25.9
hkl 0 0 2, 38.1°, intensity 16.3
hkl 1 1 -1, 43.0°, intensity 100.0
hkl 1 0 1, 44.6°, intensity 29.0
hkl 1 0 -2, 44.7°, intensity 28.6
hkl 0 1 2, 45.5°, intensity 45.7
hkl 0 2 0, 49.3°, intensity 24.5

Unit cell a=2.6543 b=3.6974 c=4.9063 alpha=90.00 beta=105.51 gamma=90.00
Space group Pm (No. 6)
Unique sites:
Mg1 0.0000 0.0000 0.0000
Be1 0.6237 0.5000 0.2502
Be2 0.7399 0.0000 0.4880
Fe1 0.3268 0.5000 0.6585

---

(4)
The following is a theoretical X-ray powder pattern of Mn4BeFe. It was derived from the PBE geometry in Alexandria, using CuKα.
Lines closer than 0.1° are merged.

Peak list (8 most intense, 5 to 70 degrees two-theta, sorted by position)
hkl 1 1 1, 23.9°, intensity 47.3
hkl 2 0 0, 27.7°, intensity 12.3
hkl 2 2 0, 39.5°, intensity 13.5
hkl 3 1 1, 46.7°, intensity 100.0
hkl 2 2 2, 48.9°, intensity 57.8
hkl 4 0 0, 57.1°, intensity 12.3
hkl 3 3 1, 62.8°, intensity 8.3
hkl 4 2 0, 64.7°, intensity 3.6

Unit cell a=6.4475 b=6.4475 c=6.4475 alpha=90.00 beta=90.00 gamma=90.00
Space group F-43m (No. 216)
Unique sites:
Mn1 0.1247 0.1247 0.1247
Be1 0.2500 0.2500 0.7500
Fe1 0.0000 0.0000 0.5000

---

(5)
The following is a theoretical X-ray powder pattern of Mn5Be2FeMo2. It was derived from the PBE geometry in Alexandria, using CuKα.
Lines closer than 0.1° are merged.

Peak list (10 most intense, 5 to 70 degrees two-theta, sorted by position)
hkl 2 1 0, 23.3°, intensity 22.3
hkl 2 0 1, 35.7°, intensity 10.3
hkl 2 1 1, 37.3°, intensity 79.0
hkl 2 2 1, 41.7°, intensity 31.1
hkl 4 1 0, 43.7°, intensity 67.4
hkl 3 1 1, 44.4°, intensity 100.0
hkl 3 3 0, 45.0°, intensity 19.8
hkl 4 2 0, 47.6°, intensity 19.7
hkl 3 2 1, 48.3°, intensity 20.1
hkl 0 0 2, 59.5°, intensity 19.3

Unit cell a=8.5493 b=8.5493 c=3.1067 alpha=90.00 beta=90.00 gamma=90.00
Space group P4/mbm (No. 127)
Unique sites:
Mn1 0.0000 0.5000 0.0000
Mn2 0.0655 0.2056 0.0000
Be1 0.1233 0.3767 0.5000
Fe1 0.0000 0.0000 0.5000
Mo1 0.1739 0.6739 0.5000

---

(6)
The following is a theoretical X-ray powder pattern of MnBe2Fe5W2. It was derived from the PBE geometry in Alexandria, using CuKα.
Lines closer than 0.1° are merged.

Peak list (10 most intense, 5 to 70 degrees two-theta, sorted by position)
hkl 2 0 0, 20.5°, intensity 17.6
hkl 2 1 0, 22.9°, intensity 63.0
hkl 2 0 1, 37.4°, intensity 21.5
hkl 2 1 1, 38.9°, intensity 91.9
hkl 4 1 0, 43.0°, intensity 100.0
hkl 3 3 0, 44.3°, intensity 27.0
hkl 3 1 1, 45.6°, intensity 70.5
hkl 4 2 0, 46.8°, intensity 14.1
hkl 3 2 1, 49.3°, intensity 14.5
hkl 5 3 0, 62.4°, intensity 13.5

Unit cell a=8.6796 b=8.6796 c=2.8881 alpha=90.00 beta=90.00 gamma=90.00
Space group P4/mbm (No. 127)
Unique sites:
Mn1 0.0000 0.0000 0.0000
Be1 0.1216 0.3784 0.0000
Fe1 0.0000 0.5000 0.5000
Fe2 0.0676 0.2090 0.5000
W1 0.1759 0.6759 0.0000

---

(7)
The following is a theoretical X-ray powder pattern of Be4Nb3Fe2. It was derived from the PBE geometry in Alexandria, using CuKα.
Lines closer than 0.1° are merged.

Peak list (10 most intense, 5 to 70 degrees two-theta, sorted by position)
hkl 2 0 -2, 27.7°, intensity 26.7
hkl 1 1 -1, 28.0°, intensity 78.2
hkl 2 0 1, 28.8°, intensity 46.0
hkl 1 1 -2, 35.2°, intensity 42.1
hkl 3 1 0, 40.5°, intensity 100.0
hkl 0 0 3, 40.7°, intensity 48.8
hkl 1 1 2, 40.8°, intensity 30.7
hkl 4 0 -2, 42.0°, intensity 42.5
hkl 3 1 -3, 49.2°, intensity 41.2
hkl 0 2 0, 49.8°, intensity 41.6

Unit cell a=8.9892 b=3.6622 c=7.1112 alpha=90.00 beta=110.62 gamma=90.00
Space group C2/m (No. 12)
Unique sites:
Be1 0.0757 0.0000 0.4029
Be2 0.2208 0.5000 0.0638
Nb1 0.0000 0.0000 0.0000
Nb2 0.1387 0.5000 0.6950
Fe1 0.1804 0.5000 0.3494

---

(8)
The following is a theoretical X-ray powder pattern of Be2Nb2Fe5W. It was derived from the PBE geometry in Alexandria, using CuKα.
Lines closer than 0.1° are merged.

Peak list (10 most intense, 5 to 70 degrees two-theta, sorted by position)
hkl 1 1 0, 14.2°, intensity 39.4
hkl 2 2 0, 28.6°, intensity 14.7
hkl 3 1 0, 32.0°, intensity 18.0
hkl 1 1 1, 32.9°, intensity 14.8
hkl 2 1 1, 37.5°, intensity 39.2
hkl 2 2 1, 41.6°, intensity 39.6
hkl 4 1 0, 42.2°, intensity 35.9
hkl 3 1 1, 44.1°, intensity 100.0
hkl 4 2 0, 45.9°, intensity 32.7
hkl 5 3 1, 69.4°, intensity 14.3

Unit cell a=8.8356 b=8.8356 c=3.0234 alpha=90.00 beta=90.00 gamma=90.00
Space group P4/mbm (No. 127)
Unique sites:
Be1 0.1202 0.3798 0.0000
Nb1 0.1740 0.6740 0.0000
Fe1 0.0000 0.5000 0.5000
Fe2 0.0692 0.2125 0.5000
W1 0.0000 0.0000 0.0000